[1]
Starting from DFT lattice parameters and positions (PBE), the XRD peak list of RbHS2O7 was calculated for copper Kα.

Lattice parameters (Å, degrees): 7.471 11.186 8.735 90.00 107.42 90.00
Space group P2_1/c (No. 14)
Symmetry-distinct sites (fractional):
Rb: 0.156 0.201 0.033
H: 0.396 0.548 0.208
S: 0.182 0.557 0.891
S: 0.414 0.596 0.677
O: 0.023 0.625 0.795
O: 0.186 0.069 0.352
O: 0.235 0.586 0.062
O: 0.241 0.594 0.549
O: 0.375 0.619 0.846
O: 0.441 0.180 0.822
O: 0.490 0.034 0.191

Largest 10 diffraction maxima, most intense first, 2θ from 10° to 90°:
| two_theta | I_rel | index |
| --- | --- | --- |
| 26.2 | 100 | 2 1 0 |
| 20.3 | 97 | 1 1 1 |
| 27.0 | 95 | 1 3 0 |
| 29.0 | 89 | 1 1 2 |
| 19.1 | 55 | 0 2 1 |
| 26.6 | 53 | 0 2 2 |
| 24.6 | 51 | 1 2 1 |
| 27.6 | 50 | 2 0 -2 |
| 31.9 | 49 | 1 1 -3 |
| 21.2 | 49 | 1 0 -2 |


[2]
Starting from DFT lattice parameters and positions (PBE), the XRD peak list of RbH3Se2O6 was calculated for copper Kα.

Lattice parameters (Å, degrees): 6.215 20.861 6.238 90.00 90.00 90.00
Space group P2_12_12 (No. 18)
Symmetry-distinct sites (fractional):
Rb: 0.030 0.114 0.257
H: 0.061 0.454 0.019
H: 0.152 0.876 0.725
H: 0.217 0.263 0.523
Se: 0.013 0.747 0.832
Se: 0.028 0.615 0.295
O: 0.029 0.172 0.803
O: 0.059 0.577 0.025
O: 0.156 0.566 0.456
O: 0.194 0.288 0.667
O: 0.243 0.732 0.692
O: 0.247 0.412 0.325

Largest 10 diffraction maxima, most intense first, 2θ from 10° to 90°:
| two_theta | I_rel | index |
| --- | --- | --- |
| 26.5 | 100 | 1 4 1 |
| 21.9 | 39 | 1 2 1 |
| 25.6 | 22 | 0 6 0 |
| 28.6 | 18 | 0 0 2 |
| 28.7 | 18 | 2 0 0 |
| 45.4 | 17 | 2 8 0 |
| 49.6 | 13 | 3 4 1 |
| 33.3 | 12 | 2 2 1 |
| 32.1 | 11 | 1 0 2 |
| 20.2 | 11 | 1 0 1 |


[3]
Starting from DFT lattice parameters and positions (PBE), the XRD peak list of RbHSeO4 was calculated for copper Kα.

Lattice parameters (Å, degrees): 4.662 7.697 13.213 90.00 90.00 90.00
Space group P2_12_12_1 (No. 19)
Symmetry-distinct sites (fractional):
Rb: 0.184 0.051 0.378
H: 0.219 0.826 0.612
Se: 0.230 0.459 0.874
O: 0.014 0.674 0.331
O: 0.029 0.817 0.572
O: 0.080 0.571 0.782
O: 0.160 0.419 0.469

Largest 10 diffraction maxima, most intense first, 2θ from 10° to 90°:
| two_theta | I_rel | index |
| --- | --- | --- |
| 23.4 | 100 | 1 0 2 |
| 33.1 | 57 | 1 2 2 |
| 23.1 | 33 | 0 2 0 |
| 27.0 | 29 | 0 0 4 |
| 45.5 | 22 | 1 0 6 |
| 30.9 | 19 | 0 2 3 |
| 35.8 | 15 | 0 2 4 |
| 24.1 | 15 | 0 2 1 |
| 36.5 | 13 | 1 2 3 |
| 53.7 | 12 | 2 2 4 |